# 1
This entry pairs a crystal structure of PmPr6Tl with its calculated powder diffraction line list. Radiation: Cu Ka. Structure: a DFT-relaxed cell (PBE, Alexandria).

Principal peaks in the range 5 to 70 degrees two-theta, low angle first:
- 2θ 8.4, d 10.516, intensity 18, hkl 0 0 1
- 2θ 30.1, d 2.966, intensity 1000, hkl 1 1 2
- 2θ 34.1, d 2.629, intensity 178, hkl 0 0 4
- 2θ 35.3, d 2.540, intensity 329, hkl 2 0 0
- 2θ 35.8, d 2.509, intensity 7, hkl 1 1 3
- 2θ 49.9, d 1.827, intensity 243, hkl 2 0 4
- 2θ 50.8, d 1.796, intensity 117, hkl 2 2 0
- 2θ 58.6, d 1.575, intensity 148, hkl 1 1 6
- 2θ 60.2, d 1.536, intensity 280, hkl 3 1 2
- 2θ 62.6, d 1.483, intensity 123, hkl 2 2 4

Cell and atoms:
Lattice parameters (Å, degrees): 5.080 5.080 10.516 90.00 90.00 90.00
Space group P4/mmm (No. 123)
Symmetry-distinct sites (fractional):
Pm: 0.000 0.000 0.000 [1 per cell]
Pr: 0.000 0.500 0.257 [4 per cell]
Pr: 0.500 0.500 0.000 [1 per cell]
Pr: 0.500 0.500 0.500 [1 per cell]
Tl: 0.000 0.000 0.500 [1 per cell]



# 2
This entry pairs a crystal structure of Pm2Pr5Tl4 with its calculated powder diffraction line list. Radiation: Cu Ka. Structure: a DFT-relaxed cell (PBE, Alexandria).

Principal peaks in the range 5 to 70 degrees two-theta, low angle first:
- 2θ 6.1, d 14.423, intensity 512, hkl 0 0 2
- 2θ 26.5, d 3.369, intensity 563, hkl 0 2 4
- 2θ 29.3, d 3.045, intensity 457, hkl 1 0 5
- 2θ 29.9, d 2.986, intensity 301, hkl 0 2 6
- 2θ 30.2, d 2.958, intensity 1000, hkl 1 1 4
- 2θ 31.0, d 2.885, intensity 662, hkl 0 0 10
- 2θ 33.3, d 2.689, intensity 423, hkl 1 1 6
- 2θ 34.2, d 2.619, intensity 279, hkl 0 2 8
- 2θ 34.5, d 2.600, intensity 313, hkl 1 2 1
- 2θ 37.8, d 2.379, intensity 488, hkl 1 2 5

Cell and atoms:
Lattice parameters (Å, degrees): 3.584 7.621 28.846 90.00 90.00 90.00
Space group Immm (No. 71)
Symmetry-distinct sites (fractional):
Pm: 0.000 0.000 0.098 [4 per cell]
Pr: 0.000 0.255 0.196 [8 per cell]
Pr: 0.000 0.500 0.500 [2 per cell]
Tl: 0.000 0.000 0.384 [4 per cell]
Tl: 0.000 0.322 0.000 [4 per cell]



What did the first record say?
This entry pairs a crystal structure of PmPr6Tl with its calculated powder diffraction line list. Radiation: Cu Ka. Structure: a DFT-relaxed cell (PBE, Alexandria).

Principal peaks in the range 5 to 70 degrees two-theta, low angle first:
- 2θ 8.4, d 10.516, intensity 18, hkl 0 0 1
- 2θ 30.1, d 2.966, intensity 1000, hkl 1 1 2
- 2θ 34.1, d 2.629, intensity 178, hkl 0 0 4
- 2θ 35.3, d 2.540, intensity 329, hkl 2 0 0
- 2θ 35.8, d 2.509, intensity 7, hkl 1 1 3
- 2θ 49.9, d 1.827, intensity 243, hkl 2 0 4
- 2θ 50.8, d 1.796, intensity 117, hkl 2 2 0
- 2θ 58.6, d 1.575, intensity 148, hkl 1 1 6
- 2θ 60.2, d 1.536, intensity 280, hkl 3 1 2
- 2θ 62.6, d 1.483, intensity 123, hkl 2 2 4

Cell and atoms:
Lattice parameters (Å, degrees): 5.080 5.080 10.516 90.00 90.00 90.00
Space group P4/mmm (No. 123)
Symmetry-distinct sites (fractional):
Pm: 0.000 0.000 0.000 [1 per cell]
Pr: 0.000 0.500 0.257 [4 per cell]
Pr: 0.500 0.500 0.000 [1 per cell]
Pr: 0.500 0.500 0.500 [1 per cell]
Tl: 0.000 0.000 0.500 [1 per cell]